Record 1
Theoretical X-ray diffraction stick pattern of TlBH6Au for Cu Kα (λ = 1.5418 Å), from a crystal structure in Alexandria, relaxed with PBE.

Most intense lines, 2θ from 10° to 80°, in order of falling intensity:
| 2theta | I (rel.) |
| --- | --- |
| 20.99 | 100.0 |
| 24.40 | 98.7 |
| 25.04 | 80.7 |
| 17.18 | 74.1 |
| 27.77 | 67.8 |
| 38.37 | 49.2 |
| 37.74 | 47.9 |
| 30.33 | 42.4 |
| 33.87 | 42.0 |
| 29.24 | 38.4 |

```
data_TlBH6Au
_cell_length_a 4.8265
_cell_length_b 5.0700
_cell_length_c 5.4789
_cell_angle_alpha 70.93
_cell_angle_beta 83.28
_cell_angle_gamma 82.33
_symmetry_space_group_name_H-M 'P 1'
_symmetry_Int_Tables_number 1
_symmetry_space_group_name_Hall 'P 1'
loop_
_atom_site_label
_atom_site_type_symbol
_atom_site_fract_x
_atom_site_fract_y
_atom_site_fract_z
Tl1 Tl 0.0000 0.0000 0.0000
B1 B 0.4724 0.4516 0.2584
H1 H 0.1108 0.7544 0.6428
H2 H 0.2298 0.4213 0.3610
H3 H 0.3594 0.4830 0.0308
H4 H 0.5599 0.6796 0.2096
H5 H 0.5946 0.2047 0.7568
H6 H 0.6402 0.2469 0.2892
Au1 Au 0.3554 0.4796 0.7002
```

Record 2
Theoretical X-ray diffraction stick pattern of BaTl12Bi4 for Cu Kα (λ = 1.5418 Å), from a crystal structure in Alexandria, relaxed with PBE.

Most intense lines, 2θ from 10° to 80°, in order of falling intensity:
| 2theta | I (rel.) |
| --- | --- |
| 25.88 | 100.0 |
| 42.34 | 52.3 |
| 36.93 | 44.8 |
| 40.60 | 30.8 |
| 30.73 | 30.5 |
| 75.06 | 22.2 |
| 58.77 | 15.7 |
| 23.11 | 13.9 |
| 65.28 | 13.0 |
| 57.41 | 12.3 |

```
data_BaTl12Bi4
_cell_length_a 9.4276
_cell_length_b 9.4276
_cell_length_c 9.4276
_cell_angle_alpha 109.47
_cell_angle_beta 109.47
_cell_angle_gamma 109.47
_symmetry_space_group_name_H-M 'P 1'
_symmetry_Int_Tables_number 1
_symmetry_space_group_name_Hall 'P 1'
loop_
_atom_site_label
_atom_site_type_symbol
_atom_site_fract_x
_atom_site_fract_y
_atom_site_fract_z
Ba1 Ba 0.0000 0.0000 0.0000
Tl1 Tl 0.1434 0.3548 0.4982
Tl2 Tl 0.1434 0.6452 0.7886
Tl3 Tl 0.2114 0.8566 0.3548
Tl4 Tl 0.3548 0.2114 0.8566
Tl5 Tl 0.3548 0.4982 0.1434
Tl6 Tl 0.4982 0.1434 0.3548
Tl7 Tl 0.5018 0.8566 0.6452
Tl8 Tl 0.6452 0.5018 0.8566
Tl9 Tl 0.6452 0.7886 0.1434
Tl10 Tl 0.7886 0.1434 0.6452
Tl11 Tl 0.8566 0.3548 0.2114
Tl12 Tl 0.8566 0.6452 0.5018
Bi1 Bi 0.0000 0.0000 0.5000
Bi2 Bi 0.0000 0.5000 0.0000
Bi3 Bi 0.5000 0.0000 0.0000
Bi4 Bi 0.5000 0.5000 0.5000
```

Record 3
Theoretical X-ray diffraction stick pattern of La2In3Sn3 for Cu Kα (λ = 1.5418 Å), from a crystal structure in Alexandria, relaxed with PBE.

Most intense lines, 2θ from 10° to 80°, in order of falling intensity:
| 2theta | I (rel.) |
| --- | --- |
| 32.36 | 100.0 |
| 36.70 | 17.8 |
| 37.88 | 16.4 |
| 38.03 | 16.1 |
| 63.37 | 14.4 |
| 64.96 | 13.4 |
| 65.16 | 13.2 |
| 53.76 | 11.9 |
| 67.74 | 11.8 |
| 53.88 | 11.7 |

```
data_La2In3Sn3
_cell_length_a 4.7503
_cell_length_b 4.8979
_cell_length_c 9.4643
_cell_angle_alpha 90.00
_cell_angle_beta 90.00
_cell_angle_gamma 90.00
_symmetry_space_group_name_H-M 'P 1'
_symmetry_Int_Tables_number 1
_symmetry_space_group_name_Hall 'P 1'
loop_
_atom_site_label
_atom_site_type_symbol
_atom_site_fract_x
_atom_site_fract_y
_atom_site_fract_z
La1 La 0.0000 0.0000 0.2476
La2 La 0.0000 0.0000 0.7524
In1 In 0.0000 0.5000 0.5000
In2 In 0.5000 0.5000 0.2539
In3 In 0.5000 0.5000 0.7461
Sn1 Sn 0.0000 0.5000 0.0000
Sn2 Sn 0.5000 0.0000 0.0000
Sn3 Sn 0.5000 0.0000 0.5000
```

Record 4
Theoretical X-ray diffraction stick pattern of KNaAg4 for Cu Kα (λ = 1.5418 Å), from a crystal structure in Alexandria, relaxed with PBE.

Most intense lines, 2θ from 10° to 80°, in order of falling intensity:
| 2theta | I (rel.) |
| --- | --- |
| 36.29 | 100.0 |
| 37.96 | 81.0 |
| 18.72 | 76.5 |
| 64.16 | 31.0 |
| 58.40 | 30.9 |
| 44.12 | 28.7 |
| 77.04 | 28.0 |
| 48.31 | 19.1 |
| 67.48 | 13.5 |
| 76.00 | 10.2 |

```
data_KNaAg4
_cell_length_a 5.8062
_cell_length_b 5.8062
_cell_length_c 5.8062
_cell_angle_alpha 60.00
_cell_angle_beta 60.00
_cell_angle_gamma 60.00
_symmetry_space_group_name_H-M 'P 1'
_symmetry_Int_Tables_number 1
_symmetry_space_group_name_Hall 'P 1'
loop_
_atom_site_label
_atom_site_type_symbol
_atom_site_fract_x
_atom_site_fract_y
_atom_site_fract_z
K1 K 0.0000 0.0000 0.0000
Na1 Na 0.7500 0.7500 0.7500
Ag1 Ag 0.3755 0.3755 0.3755
Ag2 Ag 0.3755 0.3755 0.8736
Ag3 Ag 0.3755 0.8736 0.3755
Ag4 Ag 0.8736 0.3755 0.3755
```